This entry pairs a crystal structure of Cr2GaSnO6 with its theoretical X-ray diffraction stick pattern. Radiation: λ = 1.5418 Å (Cu Kα). Structure: the GGA+U geometry in Alexandria.
Intensities are scaled so that the largest is 100.

Main lines, sorted by position (15 to 90 degrees two-theta):
two_theta	d/Å	I_rel	h k l
22.46	3.959	25	0 1 0
23.66	3.760	54	1 -1 1
31.77	2.817	100	1 0 1
32.64	2.744	42	0 1 -2
33.82	2.651	44	1 1 -1
33.99	2.637	41	1 -2 1
34.75	2.582	38	2 -1 0
45.85	1.979	22	0 2 0
48.33	1.883	18	2 0 -2
52.55	1.742	26	2 -1 2

Structural model:
Cell lengths 5.163, 5.282, 5.511 Å; angles 116.79, 90.16, 118.93 degrees
Fractional positions:
Cr  0.000  0.000  0.000
Cr  0.495  0.985  0.476
Ga  0.704  0.415  0.105
Sn  0.207  0.417  0.612
O  0.062  0.457  0.275
O  0.300  0.194  0.795
O  0.404  0.208  0.284
O  0.604  0.891  0.786
O  0.803  0.882  0.283
O  0.918  0.531  0.820